Entry 1:
For BaZnCuNi, a DFT-relaxed cell (GGA-PBE, Alexandria) gives the calculated powder diffractogram in this record (Cu Kα (λ = 1.5418 Å)).
Lines closer than 0.1° are merged.

Main lines, in order of falling intensity (15 to 90 degrees two-theta):
- 2θ = 42.05°, rel. 1000
- 2θ = 32.31°, rel. 724
- 2θ = 53.97°, rel. 608
- 2θ = 32.36°, rel. 556
- 2θ = 24.51°, rel. 474
- 2θ = 26.24°, rel. 372
- 2θ = 36.21°, rel. 301
- 2θ = 54.16°, rel. 301
- 2θ = 76.82°, rel. 182
- 2θ = 61.18°, rel. 153

Structure:
```
4
Lattice="3.718 -2.151 0.000 3.718 2.151 0.000 -2.504 0.000 5.533" Properties=species:S:1:pos:R:3 pbc="T T T"
Ba 0.000 0.000 0.000
Zn 2.471 0.000 2.683
Cu -0.011 0.000 3.094
Ni 4.949 0.000 2.446
```


Entry 2:
For BaNp2CuS5, a DFT-relaxed cell (GGA-PBE, Alexandria) gives the calculated powder diffractogram in this record (Cu Kα (λ = 1.5418 Å)).
Lines closer than 0.1° are merged.

Main lines, in order of falling intensity (15 to 90 degrees two-theta):
- 2θ = 27.66°, rel. 1000
- 2θ = 22.99°, rel. 530
- 2θ = 38.23°, rel. 377
- 2θ = 46.91°, rel. 339
- 2θ = 26.18°, rel. 335
- 2θ = 38.84°, rel. 293
- 2θ = 47.09°, rel. 276
- 2θ = 58.20°, rel. 261
- 2θ = 34.23°, rel. 241
- 2θ = 24.54°, rel. 225

Structure:
```
9
Lattice="-2.143 3.404 7.052 2.143 -3.404 7.052 2.143 3.404 -7.052" Properties=species:S:1:pos:R:3 pbc="T T T"
Ba 0.000 0.000 0.000
Np 2.143 0.000 4.332
Np 0.000 3.404 2.720
Cu 0.000 0.000 7.052
S 2.143 1.647 -2.130
S 2.143 1.647 2.130
S 0.000 3.404 0.000
S 0.000 1.757 4.922
S 0.000 1.757 9.183
```


Entry 3:
For Ba2NpCu2S6, a DFT-relaxed cell (GGA-PBE, Alexandria) gives the calculated powder diffractogram in this record (Cu Kα (λ = 1.5418 Å)).
Lines closer than 0.1° are merged.

Main lines, in order of falling intensity (15 to 90 degrees two-theta):
- 2θ = 24.55°, rel. 1000
- 2θ = 34.61°, rel. 499
- 2θ = 28.15°, rel. 475
- 2θ = 24.02°, rel. 407
- 2θ = 45.50°, rel. 299
- 2θ = 50.32°, rel. 296
- 2θ = 37.69°, rel. 246
- 2θ = 51.40°, rel. 238
- 2θ = 43.21°, rel. 226
- 2θ = 42.89°, rel. 188

Structure:
```
11
Lattice="3.627 2.094 6.119 -3.627 2.094 6.119 0.000 -4.188 6.119" Properties=species:S:1:pos:R:3 pbc="T T T"
Ba 0.000 0.000 4.228
Ba 0.000 0.000 14.129
Np 0.000 0.000 0.000
Cu 0.000 0.000 7.822
Cu 0.000 0.000 10.535
S -1.893 -1.093 10.676
S 0.000 -2.185 7.681
S -1.893 1.093 7.681
S 1.893 -1.093 10.676
S 0.000 2.185 10.676
S 1.893 1.093 7.681
```


Entry 4:
For Ba2NpCuSe6, a DFT-relaxed cell (GGA-PBE, Alexandria) gives the calculated powder diffractogram in this record (Cu Kα (λ = 1.5418 Å)).
Lines closer than 0.1° are merged.

Main lines, in order of falling intensity (15 to 90 degrees two-theta):
- 2θ = 33.56°, rel. 1000
- 2θ = 24.32°, rel. 606
- 2θ = 35.76°, rel. 541
- 2θ = 49.83°, rel. 535
- 2θ = 29.59°, rel. 452
- 2θ = 61.44°, rel. 368
- 2θ = 23.56°, rel. 365
- 2θ = 48.20°, rel. 358
- 2θ = 18.82°, rel. 310
- 2θ = 41.88°, rel. 295

Structure:
```
10
Lattice="5.340 0.000 0.000 0.000 5.340 0.000 0.000 0.000 10.052" Properties=species:S:1:pos:R:3 pbc="T T T"
Ba 0.000 0.000 2.175
Ba 0.000 0.000 7.877
Np 2.670 2.670 5.026
Cu 2.670 2.670 0.000
Se 0.000 2.670 0.000
Se 0.000 2.670 5.026
Se 2.670 0.000 0.000
Se 2.670 0.000 5.026
Se 2.670 2.670 2.389
Se 2.670 2.670 7.664
```


Entry 5:
For BaNp4Cu3Se12, a DFT-relaxed cell (GGA-PBE, Alexandria) gives the calculated powder diffractogram in this record (Cu Kα (λ = 1.5418 Å)).
Lines closer than 0.1° are merged.

Main lines, in order of falling intensity (15 to 90 degrees two-theta):
- 2θ = 43.43°, rel. 1000
- 2θ = 24.67°, rel. 978
- 2θ = 17.38°, rel. 428
- 2θ = 39.48°, rel. 393
- 2θ = 35.17°, rel. 376
- 2θ = 27.63°, rel. 371
- 2θ = 79.71°, rel. 359
- 2θ = 57.06°, rel. 291
- 2θ = 68.83°, rel. 273
- 2θ = 32.83°, rel. 237

Structure:
```
20
Lattice="-5.104 5.104 5.104 5.104 -5.104 5.104 5.104 5.104 -5.104" Properties=species:S:1:pos:R:3 pbc="T T T"
Ba 0.000 0.000 0.000
Np 2.552 2.552 -2.552
Np 2.552 -2.552 2.552
Np -2.552 2.552 2.552
Np 2.552 2.552 2.552
Cu 5.104 0.000 0.000
Cu 0.000 5.104 0.000
Cu 0.000 0.000 5.104
Se 5.104 3.428 -1.871
Se 3.233 0.000 1.676
Se 6.975 0.000 1.676
Se 1.676 3.233 0.000
Se 3.428 -1.871 5.104
Se 0.000 1.676 3.233
Se 5.104 3.428 1.871
Se 1.676 6.975 0.000
Se 3.428 1.871 5.104
Se -1.871 5.104 3.428
Se 1.871 5.104 3.428
Se 0.000 1.676 6.975
```


Entry 6:
For Ba2Cu3O6, a DFT-relaxed cell (GGA-PBE, Alexandria) gives the calculated powder diffractogram in this record (Cu Kα (λ = 1.5418 Å)).
Lines closer than 0.1° are merged.

Main lines, in order of falling intensity (15 to 90 degrees two-theta):
- 2θ = 29.17°, rel. 1000
- 2θ = 28.86°, rel. 544
- 2θ = 45.65°, rel. 345
- 2θ = 40.36°, rel. 288
- 2θ = 31.61°, rel. 282
- 2θ = 22.37°, rel. 254
- 2θ = 24.45°, rel. 245
- 2θ = 60.47°, rel. 186
- 2θ = 46.27°, rel. 180
- 2θ = 40.15°, rel. 175

Structure:
```
22
Lattice="0.000 5.661 7.388 4.183 0.000 7.388 4.183 5.661 0.000" Properties=species:S:1:pos:R:3 pbc="T T T"
Ba 4.183 2.646 7.388
Ba 2.092 2.831 3.694
Ba 6.275 8.492 11.083
Ba 4.183 8.676 7.388
Cu 7.098 5.661 5.210
Cu 7.098 5.661 9.567
Cu 5.798 5.661 7.388
Cu 2.569 5.661 7.388
Cu 1.269 5.661 5.210
Cu 1.269 5.661 9.567
O 4.183 4.346 2.700
O 5.992 4.377 6.048
O 5.992 4.377 8.729
O 4.183 6.976 2.700
O 5.992 6.945 6.048
O 5.992 6.945 8.729
O 2.375 4.377 6.048
O 2.375 4.377 8.729
O 4.183 4.346 12.077
O 2.375 6.945 6.048
O 2.375 6.945 8.729
O 4.183 6.976 12.077
```


Entry 7:
For BaCu4O4, a DFT-relaxed cell (GGA-PBE, Alexandria) gives the calculated powder diffractogram in this record (Cu Kα (λ = 1.5418 Å)).
Lines closer than 0.1° are merged.

Main lines, in order of falling intensity (15 to 90 degrees two-theta):
- 2θ = 30.54°, rel. 1000
- 2θ = 33.83°, rel. 961
- 2θ = 38.76°, rel. 903
- 2θ = 23.60°, rel. 809
- 2θ = 50.75°, rel. 515
- 2θ = 52.38°, rel. 438
- 2θ = 45.88°, rel. 279
- 2θ = 55.98°, rel. 258
- 2θ = 78.92°, rel. 245
- 2θ = 65.11°, rel. 224

Structure:
```
18
Lattice="6.571 0.000 0.000 0.000 6.571 0.000 0.000 0.000 6.450" Properties=species:S:1:pos:R:3 pbc="T T T"
Ba 1.643 1.643 0.000
Ba 4.928 4.928 0.000
Cu 0.000 0.000 3.225
Cu 0.000 3.285 3.225
Cu 1.643 4.928 1.799
Cu 1.643 4.928 4.651
Cu 3.285 0.000 3.225
Cu 3.285 3.285 3.225
Cu 4.928 1.643 1.799
Cu 4.928 1.643 4.651
O 0.372 3.658 1.496
O 0.372 6.198 4.954
O 2.913 3.658 4.954
O 2.913 6.198 1.496
O 3.658 0.372 4.954
O 3.658 2.913 1.496
O 6.198 0.372 1.496
O 6.198 2.913 4.954
```


Entry 8:
For Ba2Cu2O3, a DFT-relaxed cell (GGA-PBE, Alexandria) gives the calculated powder diffractogram in this record (Cu Kα (λ = 1.5418 Å)).
Lines closer than 0.1° are merged.

Main lines, in order of falling intensity (15 to 90 degrees two-theta):
- 2θ = 28.78°, rel. 1000
- 2θ = 31.61°, rel. 543
- 2θ = 27.06°, rel. 488
- 2θ = 18.52°, rel. 356
- 2θ = 26.95°, rel. 342
- 2θ = 36.22°, rel. 291
- 2θ = 29.70°, rel. 281
- 2θ = 32.61°, rel. 279
- 2θ = 43.88°, rel. 248
- 2θ = 54.45°, rel. 203

Structure:
```
7
Lattice="6.768 -2.063 0.000 6.768 2.063 0.000 -1.287 0.000 5.492" Properties=species:S:1:pos:R:3 pbc="T T T"
Ba 1.433 0.000 1.630
Ba 10.816 0.000 3.862
Cu 5.359 0.000 1.168
Cu 6.890 0.000 4.324
O 3.933 0.000 2.237
O 6.768 0.000 0.000
O 8.316 0.000 3.255
```


Entry 9:
For Ba8Cu8O19, a DFT-relaxed cell (GGA-PBE, Alexandria) gives the calculated powder diffractogram in this record (Cu Kα (λ = 1.5418 Å)).
Lines closer than 0.1° are merged.

Main lines, in order of falling intensity (15 to 90 degrees two-theta):
- 2θ = 31.10°, rel. 1000
- 2θ = 31.36°, rel. 483
- 2θ = 26.28°, rel. 377
- 2θ = 25.86°, rel. 291
- 2θ = 33.66°, rel. 260
- 2θ = 40.74°, rel. 206
- 2θ = 25.99°, rel. 170
- 2θ = 46.20°, rel. 128
- 2θ = 26.51°, rel. 124
- 2θ = 34.31°, rel. 119

Structure:
```
35
Lattice="5.756 0.000 0.000 0.007 9.384 0.000 0.086 0.252 9.900" Properties=species:S:1:pos:R:3 pbc="T T T"
Ba 0.000 0.000 0.000
Ba 0.041 2.326 3.321
Ba 0.062 6.965 3.270
Ba 2.826 4.615 1.599
Ba 2.927 9.371 4.854
Ba 2.961 2.439 8.256
Ba 2.998 7.133 8.284
Ba 5.743 4.559 6.473
Cu 2.815 3.363 4.824
Cu 2.827 5.931 4.904
Cu 2.866 1.233 1.487
Cu 2.883 8.032 1.482
Cu 5.725 6.115 9.804
Cu 5.733 3.581 9.751
Cu 5.771 7.992 6.286
Cu 5.801 1.212 6.461
O 0.104 9.451 4.870
O 1.204 4.900 9.079
O 1.254 6.847 0.606
O 1.274 2.453 0.709
O 1.480 4.655 4.152
O 1.542 6.926 5.988
O 1.551 2.311 5.858
O 1.743 9.308 2.275
O 2.910 2.137 3.091
O 2.939 7.138 3.096
O 3.019 9.567 9.896
O 4.069 4.659 4.196
O 4.179 2.445 5.680
O 4.242 6.828 5.782
O 4.412 4.896 9.068
O 4.379 2.301 0.890
O 4.397 6.977 0.821
O 4.764 9.204 7.315
O 5.824 2.191 8.039
```


Entry 10:
For BaCuOsO6, a DFT-relaxed cell (GGA-PBE, Alexandria) gives the calculated powder diffractogram in this record (Cu Kα (λ = 1.5418 Å)).
Lines closer than 0.1° are merged.

Main lines, in order of falling intensity (15 to 90 degrees two-theta):
- 2θ = 25.54°, rel. 1000
- 2θ = 23.89°, rel. 652
- 2θ = 32.13°, rel. 407
- 2θ = 34.15°, rel. 343
- 2θ = 15.93°, rel. 254
- 2θ = 48.53°, rel. 223
- 2θ = 46.71°, rel. 167
- 2θ = 19.89°, rel. 148
- 2θ = 44.19°, rel. 146
- 2θ = 43.70°, rel. 131

Structure:
```
9
Lattice="2.797 -4.464 0.000 2.797 4.464 0.000 -0.427 0.000 5.564" Properties=species:S:1:pos:R:3 pbc="T T T"
Ba 0.000 0.000 0.000
Cu 2.583 1.761 2.782
Os 2.583 -1.256 2.782
O 0.880 -1.357 3.646
O 2.065 0.299 1.711
O 3.101 0.299 3.853
O 1.847 -2.272 1.479
O 3.319 -2.272 4.084
O 4.286 -1.357 1.917
```


Entry 11:
For Ba2CuP2O9, a DFT-relaxed cell (GGA-PBE, Alexandria) gives the calculated powder diffractogram in this record (Cu Kα (λ = 1.5418 Å)).
Lines closer than 0.1° are merged.

Main lines, in order of falling intensity (15 to 90 degrees two-theta):
- 2θ = 25.77°, rel. 1000
- 2θ = 38.34°, rel. 417
- 2θ = 30.10°, rel. 413
- 2θ = 31.82°, rel. 404
- 2θ = 23.75°, rel. 395
- 2θ = 27.70°, rel. 250
- 2θ = 30.99°, rel. 249
- 2θ = 28.95°, rel. 240
- 2θ = 33.34°, rel. 233
- 2θ = 43.75°, rel. 223

Structure:
```
28
Lattice="8.703 0.000 0.000 0.000 5.771 0.000 -3.335 0.000 8.263" Properties=species:S:1:pos:R:3 pbc="T T T"
Ba 1.040 1.443 1.820
Ba -0.139 4.328 4.919
Ba 5.506 1.443 3.344
Ba 4.327 4.328 6.443
Cu 4.351 0.000 0.000
Cu 4.351 2.885 0.000
P -2.139 1.443 6.640
P 1.972 1.443 5.648
P 3.396 4.328 2.615
P 7.506 4.328 1.623
O -2.196 0.182 5.734
O -2.196 2.703 5.734
O 0.058 4.328 0.699
O -0.882 1.443 7.557
O 0.821 1.443 4.639
O 0.120 4.328 7.684
O 2.003 4.328 3.240
O 3.490 3.019 1.709
O 3.490 5.637 1.709
O 1.878 0.134 6.554
O 1.878 2.751 6.554
O 3.365 1.443 5.023
O 5.247 1.443 0.579
O 4.547 4.328 3.624
O 6.249 4.328 0.706
O 5.309 1.443 7.565
O 7.563 3.067 2.529
O 7.563 5.589 2.529
```


Repeat the first record exactly.
For BaZnCuNi, a DFT-relaxed cell (GGA-PBE, Alexandria) gives the calculated powder diffractogram in this record (Cu Kα (λ = 1.5418 Å)).
Lines closer than 0.1° are merged.

Main lines, in order of falling intensity (15 to 90 degrees two-theta):
- 2θ = 42.05°, rel. 1000
- 2θ = 32.31°, rel. 724
- 2θ = 53.97°, rel. 608
- 2θ = 32.36°, rel. 556
- 2θ = 24.51°, rel. 474
- 2θ = 26.24°, rel. 372
- 2θ = 36.21°, rel. 301
- 2θ = 54.16°, rel. 301
- 2θ = 76.82°, rel. 182
- 2θ = 61.18°, rel. 153

Structure:
```
4
Lattice="3.718 -2.151 0.000 3.718 2.151 0.000 -2.504 0.000 5.533" Properties=species:S:1:pos:R:3 pbc="T T T"
Ba 0.000 0.000 0.000
Zn 2.471 0.000 2.683
Cu -0.011 0.000 3.094
Ni 4.949 0.000 2.446
```